For Er3ScRu3, DFT lattice parameters and positions (PBE) gives the computed powder X-ray diffraction pattern in this record (λ = 1.5418 Å (Cu Kα)).
No peak broadening, texture or thermal motion is included.

Most intense lines, 2θ from 5° to 70°, by intensity:
38.4 deg, rel. 100.0, (2 0 2)
38.8 deg, rel. 79.2, (2 2 0)
33.4 deg, rel. 47.4, (3 0 0)
19.1 deg, rel. 32.4, (1 1 0)
33.3 deg, rel. 31.4, (2 1 1)
43.2 deg, rel. 25.0, (1 2 2)
33.0 deg, rel. 23.6, (0 1 2)
52.1 deg, rel. 23.4, (3 2 1)
59.4 deg, rel. 23.0, (2 3 2)
55.7 deg, rel. 19.8, (0 4 2)

```
data_Er3ScRu3
_chemical_formula_sum 'Er9 Sc3 Ru9'
_space_group_name_H-M_alt 'R 3 m'
_space_group_IT_number 160
_space_group_name_Hall 'R 3 -2"'
_cell_length_a 9.2861
_cell_length_b 9.2861
_cell_length_c 5.7764
_cell_angle_alpha 90.00
_cell_angle_beta 90.00
_cell_angle_gamma 120.00
loop_
_atom_site_label
_atom_site_type_symbol
_atom_site_fract_x
_atom_site_fract_y
_atom_site_fract_z
_atom_site_occupancy
Er1 Er 0.1953 0.3905 0.0000 1
Sc1 Sc 0.0000 0.0000 0.7815 1
Ru1 Ru 0.1691 0.3382 0.5283 1
```